# TbMgCdHg
Simulated powder diffraction line list, Cu Kα. Input: DFT lattice parameters and positions (PBE).
Intensities are scaled so that the largest is 100.

Most intense lines, 10° ≤ 2θ ≤ 80°, by angle:
2θ 21.4, I 23, hkl 1 1 1
2θ 24.7, I 9, hkl 2 0 0
2θ 35.2, I 100, hkl 2 2 0
2θ 41.6, I 13, hkl 3 1 1
2θ 50.7, I 18, hkl 4 0 0
2θ 55.6, I 6, hkl 3 3 1
2θ 63.3, I 36, hkl 4 2 2
2θ 67.6, I 4, hkl 5 1 1
2θ 74.5, I 11, hkl 4 4 0
2θ 78.6, I 4, hkl 5 3 1

```
data_TbMgCdHg
_cell_length_a 7.2023
_cell_length_b 7.2023
_cell_length_c 7.2023
_cell_angle_alpha 90.00
_cell_angle_beta 90.00
_cell_angle_gamma 90.00
_symmetry_space_group_name_H-M 'F -4 3 m'
_symmetry_Int_Tables_number 216
_symmetry_space_group_name_Hall 'F -4 2 3'
loop_
_atom_site_label
_atom_site_fract_x
_atom_site_fract_y
_atom_site_fract_z
Tb1 0.0000 0.0000 0.0000
Mg1 0.0000 0.0000 0.5000
Cd1 0.2500 0.2500 0.2500
Hg1 0.2500 0.2500 0.7500
```

# ThMgCd2Hg2
Simulated powder diffraction line list, Cu Kα. Input: DFT lattice parameters and positions (PBE).
Intensities are scaled so that the largest is 100.

Most intense lines, 10° ≤ 2θ ≤ 80°, by angle:
2θ 10.7, I 98, hkl 0 0 3
2θ 25.1, I 59, hkl 1 0 4
2θ 27.4, I 26, hkl 0 1 5
2θ 32.7, I 18, hkl 1 0 7
2θ 35.6, I 79, hkl 0 1 8
2θ 36.0, I 100, hkl 1 1 0
2θ 37.6, I 31, hkl 1 1 3
2θ 51.5, I 28, hkl 2 0 8
2θ 64.4, I 28, hkl 1 2 8
2θ 64.7, I 18, hkl 3 0 0

```
data_ThMgCd2Hg2
_cell_length_a 4.9937
_cell_length_b 4.9937
_cell_length_c 24.7996
_cell_angle_alpha 90.00
_cell_angle_beta 90.00
_cell_angle_gamma 120.00
_symmetry_space_group_name_H-M 'R -3 m'
_symmetry_Int_Tables_number 166
_symmetry_space_group_name_Hall '-R 3 2"'
loop_
_atom_site_label
_atom_site_fract_x
_atom_site_fract_y
_atom_site_fract_z
Th1 0.0000 0.0000 0.0000
Mg1 0.0000 0.0000 0.5000
Cd1 0.0000 0.0000 0.3912
Hg1 0.0000 0.0000 0.2585
```

# YMgCd2Hg2
Simulated powder diffraction line list, Cu Kα. Input: DFT lattice parameters and positions (PBE).
Intensities are scaled so that the largest is 100.

Most intense lines, 10° ≤ 2θ ≤ 80°, by angle:
2θ 21.5, I 23, hkl 0 1 2
2θ 29.6, I 44, hkl 0 0 6
2θ 31.4, I 12, hkl 0 1 5
2θ 33.4, I 100, hkl 1 1 0
2θ 45.3, I 83, hkl 1 1 6
2θ 59.8, I 19, hkl 3 0 0
2θ 68.1, I 24, hkl 3 0 6
2θ 70.2, I 14, hkl 2 2 0
2θ 71.9, I 19, hkl 1 1 12
2θ 78.0, I 17, hkl 2 2 6

```
data_YMgCd2Hg2
_cell_length_a 5.3603
_cell_length_b 5.3603
_cell_length_c 18.0849
_cell_angle_alpha 90.00
_cell_angle_beta 90.00
_cell_angle_gamma 120.00
_symmetry_space_group_name_H-M 'R -3 m'
_symmetry_Int_Tables_number 166
_symmetry_space_group_name_Hall '-R 3 2"'
loop_
_atom_site_label
_atom_site_fract_x
_atom_site_fract_y
_atom_site_fract_z
Y1 0.0000 0.0000 0.0000
Mg1 0.0000 0.0000 0.5000
Cd1 0.0000 0.0000 0.3377
Hg1 0.0000 0.0000 0.1725
```

# MnCdHg2
Simulated powder diffraction line list, Cu Kα. Input: DFT lattice parameters and positions (PBE).
Intensities are scaled so that the largest is 100.

Most intense lines, 10° ≤ 2θ ≤ 80°, by angle:
2θ 19.2, I 21, hkl 2 0 0
2θ 32.2, I 13, hkl 1 1 -1
2θ 34.4, I 100, hkl 2 0 -2
2θ 39.0, I 23, hkl 4 0 0
2θ 40.9, I 42, hkl 3 1 -1
2θ 42.2, I 18, hkl 2 0 2
2θ 56.9, I 15, hkl 1 1 -3
2θ 63.4, I 10, hkl 5 1 1
2θ 67.3, I 10, hkl 2 2 -2
2θ 70.2, I 9, hkl 5 1 -3

```
data_MnCdHg2
_cell_length_a 9.4734
_cell_length_b 3.2902
_cell_length_c 5.5755
_cell_angle_alpha 90.00
_cell_angle_beta 103.04
_cell_angle_gamma 90.00
_symmetry_space_group_name_H-M 'C 1 2/m 1'
_symmetry_Int_Tables_number 12
loop_
_symmetry_equiv_pos_as_xyz
'x,y,z'
'-x,-y,-z'
'-x,y,-z'
'x,-y,z'
'x+1/2,y+1/2,z'
'-x+1/2,-y+1/2,-z'
'-x+1/2,y+1/2,-z'
'x+1/2,-y+1/2,z'
loop_
_atom_site_label
_atom_site_fract_x
_atom_site_fract_y
_atom_site_fract_z
Mn1 0.0000 0.0000 0.0000
Cd1 0.0000 0.5000 0.5000
Hg1 0.2410 0.5000 0.2335
```